Theoretical X-ray powder pattern
Compound: TlBr4N
Radiation: Cu Kα, 1.54184 Å
Structure: a structure optimized by DFT (GGA-PBE)
No peak broadening, texture or thermal motion is included.

Structure:
Unit cell a=7.6739 b=12.6798 c=10.3872 alpha=90.00 beta=90.00 gamma=90.00
Positions (direct):
1 Tl 0.2500 0.0000 0.0740
2 Tl 0.2500 0.5000 0.4260
3 Tl 0.7500 0.0000 0.9260
4 Tl 0.7500 0.5000 0.5740
5 Br 0.0657 0.1327 0.9025
6 Br 0.0657 0.3673 0.5975
7 Br 0.1069 0.1396 0.3153
8 Br 0.1069 0.3604 0.1847
9 Br 0.3931 0.6396 0.1847
10 Br 0.3931 0.8604 0.3153
11 Br 0.4343 0.6327 0.5975
12 Br 0.4343 0.8673 0.9025
13 Br 0.5657 0.1327 0.0975
14 Br 0.5657 0.3673 0.4025
15 Br 0.6069 0.1396 0.6847
16 Br 0.6069 0.3604 0.8153
17 Br 0.8931 0.6396 0.8153
18 Br 0.8931 0.8604 0.6847
19 Br 0.9343 0.6327 0.4025
20 Br 0.9343 0.8673 0.0975
21 N 0.0288 0.7500 0.7500
22 N 0.4712 0.2500 0.7500
23 N 0.5288 0.7500 0.2500
24 N 0.9712 0.2500 0.2500

Most intense lines, 2θ from 10° to 90°, sorted by position:
d 8.035, I 100.0; d 6.172, I 22.5; d 3.559, I 34.1; d 3.015, I 30.0; d 2.740, I 17.5; d 2.258, I 19.0


Theoretical X-ray powder pattern
Compound: TmBr3N
Radiation: Cu Kα, 1.54184 Å
Structure: a structure optimized by DFT (GGA-PBE)
No peak broadening, texture or thermal motion is included.

Structure:
Unit cell a=7.5612 b=7.5612 c=9.1393 alpha=91.12 beta=91.12 gamma=42.87
Positions (direct):
1 Tm 0.0228 0.0228 0.2819
2 Tm 0.9772 0.9772 0.7181
3 Br 0.1369 0.1369 0.5315
4 Br 0.1511 0.1511 0.9152
5 Br 0.4811 0.4811 0.7499
6 Br 0.5189 0.5189 0.2501
7 Br 0.8489 0.8489 0.0848
8 Br 0.8631 0.8631 0.4685
9 N 0.1112 0.1112 0.0997
10 N 0.8888 0.8888 0.9003

Most intense lines, 2θ from 10° to 90°, sorted by position:
d 7.037, I 100.0; d 5.144, I 92.7; d 3.869, I 51.9; d 3.796, I 25.5; d 2.816, I 26.4; d 2.762, I 71.2


Theoretical X-ray powder pattern
Compound: YBrN2
Radiation: Cu Kα, 1.54184 Å
Structure: a structure optimized by DFT (GGA-PBE)
No peak broadening, texture or thermal motion is included.

Structure:
Unit cell a=3.6697 b=3.6697 c=18.6152 alpha=90.00 beta=90.00 gamma=120.00
Positions (direct):
1 Y 0.0000 0.0000 0.0000
2 Y 0.3333 0.6667 0.6667
3 Y 0.6667 0.3333 0.3333
4 Br 0.0000 0.0000 0.5000
5 Br 0.3333 0.6667 0.1667
6 Br 0.6667 0.3333 0.8333
7 N 0.0000 0.0000 0.3919
8 N 0.0000 0.0000 0.6081
9 N 0.3333 0.6667 0.0586
10 N 0.3333 0.6667 0.2748
11 N 0.6667 0.3333 0.7252
12 N 0.6667 0.3333 0.9414

Most intense lines, 2θ from 10° to 90°, sorted by position:
d 3.103, I 27.5; d 3.008, I 100.0; d 2.624, I 46.6; d 1.877, I 27.5; d 1.835, I 27.7; d 1.579, I 22.4


Theoretical X-ray powder pattern
Compound: ZnBrN
Radiation: Cu Kα, 1.54184 Å
Structure: a structure optimized by DFT (GGA-PBE)
No peak broadening, texture or thermal motion is included.

Structure:
Unit cell a=8.4165 b=4.4073 c=8.0895 alpha=90.00 beta=116.64 gamma=90.00
Positions (direct):
1 Zn 0.0857 0.0000 0.3997
2 Zn 0.4143 0.5000 0.6003
3 Zn 0.5857 0.5000 0.3997
4 Zn 0.9143 0.0000 0.6003
5 Br 0.2319 0.5000 0.7601
6 Br 0.2681 0.0000 0.2399
7 Br 0.7319 0.0000 0.7601
8 Br 0.7681 0.5000 0.2399
9 N 0.1766 0.0000 0.6798
10 N 0.3234 0.5000 0.3202
11 N 0.6766 0.5000 0.6798
12 N 0.8234 0.0000 0.3202

Most intense lines, 2θ from 10° to 90°, sorted by position:
d 7.231, I 63.4; d 3.803, I 28.2; d 3.089, I 100.0; d 2.306, I 21.0; d 2.204, I 25.4; d 2.066, I 23.6